(1)
Simulated X-ray diffraction stick pattern of Tb3Al2 for Cu Kα X-rays, from a cell relaxed with GGA-PBE.
Lines closer than 0.1° are merged.

Cell lengths 8.271, 8.271, 7.625 Å; angles 90.00, 90.00, 90.00 degrees
Fractional coordinates of all 20 atoms:
Tb 0.000 0.500 0.250
Tb 0.000 0.500 0.750
Tb 0.150 0.150 0.000
Tb 0.202 0.202 0.500
Tb 0.298 0.702 0.000
Tb 0.350 0.650 0.500
Tb 0.500 0.000 0.250
Tb 0.500 0.000 0.750
Tb 0.650 0.350 0.500
Tb 0.702 0.298 0.000
Tb 0.798 0.798 0.500
Tb 0.850 0.850 0.000
Al 0.119 0.881 0.307
Al 0.119 0.881 0.693
Al 0.381 0.381 0.193
Al 0.381 0.381 0.807
Al 0.619 0.619 0.193
Al 0.619 0.619 0.807
Al 0.881 0.119 0.307
Al 0.881 0.119 0.693

Main lines, in order of rising 2θ (10 to 90 degrees two-theta):
2θ (°)	I (rel.)
24.1	51
27.9	51
30.6	38
31.9	100
33.8	83
34.3	68
36.3	25
51.5	20
52.7	31
60.1	24

---

(2)
Simulated X-ray diffraction stick pattern of Nb5AlGa2 for Cu Kα X-rays, from a cell relaxed with GGA-PBE.
Lines closer than 0.1° are merged.

Cell lengths 7.654, 7.654, 7.654 Å; angles 126.96, 126.96, 78.31 degrees
Fractional coordinates of all 16 atoms:
Nb 0.000 0.000 0.000
Nb 0.007 0.507 0.826
Nb 0.181 0.007 0.500
Nb 0.319 0.819 0.826
Nb 0.493 0.319 0.500
Nb 0.500 0.500 0.000
Nb 0.507 0.681 0.500
Nb 0.681 0.181 0.174
Nb 0.819 0.993 0.500
Nb 0.993 0.493 0.174
Al 0.250 0.250 0.000
Al 0.750 0.750 0.000
Ga 0.134 0.366 0.500
Ga 0.366 0.866 0.233
Ga 0.634 0.134 0.767
Ga 0.866 0.634 0.500

Main lines, in order of rising 2θ (10 to 90 degrees two-theta):
2θ (°)	I (rel.)
30.2	11
35.5	6
37.2	100
40.3	13
41.8	35
45.9	13
60.6	13
63.8	13
79.1	8
79.3	16

---

(3)
Simulated X-ray diffraction stick pattern of Tb4Al16Co3 for Cu Kα X-rays, from a cell relaxed with GGA-PBE.
Lines closer than 0.1° are merged.

Cell lengths 6.029, 6.029, 11.199 Å; angles 90.00, 90.00, 90.00 degrees
Fractional coordinates of all 23 atoms:
Tb 0.000 0.500 0.193
Tb 0.000 0.500 0.807
Tb 0.500 0.000 0.193
Tb 0.500 0.000 0.807
Al 0.000 0.000 0.193
Al 0.000 0.000 0.807
Al 0.224 0.224 0.000
Al 0.224 0.776 0.000
Al 0.251 0.251 0.385
Al 0.251 0.251 0.615
Al 0.251 0.749 0.385
Al 0.251 0.749 0.615
Al 0.500 0.500 0.214
Al 0.500 0.500 0.786
Al 0.749 0.251 0.385
Al 0.749 0.251 0.615
Al 0.749 0.749 0.385
Al 0.749 0.749 0.615
Al 0.776 0.224 0.000
Al 0.776 0.776 0.000
Co 0.000 0.500 0.500
Co 0.500 0.000 0.500
Co 0.500 0.500 0.000

Main lines, in order of rising 2θ (10 to 90 degrees two-theta):
2θ (°)	I (rel.)
20.8	93
26.3	33
29.6	43
31.9	85
33.8	43
38.4	100
42.4	67
54.0	38
59.9	28
74.9	26

---

(4)
Simulated X-ray diffraction stick pattern of La4Dy5Tm4 for Cu Kα X-rays, from a cell relaxed with GGA-PBE.
Lines closer than 0.1° are merged.

Cell lengths 9.509, 9.509, 9.509 Å; angles 94.10, 94.10, 149.00 degrees
Fractional coordinates of all 13 atoms:
La 0.153 0.771 0.924
La 0.229 0.153 0.381
La 0.771 0.847 0.619
La 0.847 0.229 0.076
Dy 0.000 0.000 0.000
Dy 0.306 0.537 0.843
Dy 0.463 0.306 0.769
Dy 0.537 0.694 0.231
Dy 0.694 0.463 0.157
Tm 0.076 0.388 0.465
Tm 0.388 0.924 0.312
Tm 0.612 0.076 0.688
Tm 0.924 0.612 0.535

Main lines, in order of rising 2θ (10 to 90 degrees two-theta):
2θ (°)	I (rel.)
13.7	1
30.5	100
35.3	51
50.8	36
60.4	43
63.4	12
74.7	6
82.8	18
85.4	16